[1]
# Ho5Sc4In
Computed X-ray powder pattern, Cu Kα, 1.54184 Å. Input: DFT lattice parameters and positions (PBE).
Kinematic intensities with the Lorentz-polarization factor, no thermal factor.

Crystal structure
Unit cell a=9.8891 b=9.8891 c=5.9899 alpha=90.00 beta=90.00 gamma=90.00
Space group I4 (No. 79)
Unique sites:
Ho 0.0000 0.0000 0.0000 (multiplicity 2)
Ho 0.1470 0.2420 0.6777 (multiplicity 8)
Sc 0.0534 0.3616 0.1830 (multiplicity 8)
In 0.0000 0.0000 0.4727 (multiplicity 2)

Principal peaks in the range 10° ≤ 2θ ≤ 80°, in order of rising 2θ:
two_theta	intensity
25.03	86
28.54	100
30.97	86
35.03	80
36.02	99
41.76	71

[2]
# Ho9Sc2In
Computed X-ray powder pattern, Cu Kα, 1.54184 Å. Input: DFT lattice parameters and positions (PBE).
Kinematic intensities with the Lorentz-polarization factor, no thermal factor.

Crystal structure
Unit cell a=4.8497 b=4.8497 c=14.7654 alpha=90.00 beta=90.00 gamma=90.00
Space group P4/mmm (No. 123)
Unique sites:
Ho 0.0000 0.0000 0.0000 (multiplicity 1)
Ho 0.0000 0.0000 0.3317 (multiplicity 2)
Ho 0.0000 0.5000 0.1662 (multiplicity 4)
Ho 0.0000 0.5000 0.5000 (multiplicity 2)
Sc 0.5000 0.5000 0.3339 (multiplicity 2)
In 0.5000 0.5000 0.0000 (multiplicity 1)

Principal peaks in the range 10° ≤ 2θ ≤ 80°, in order of rising 2θ:
two_theta	intensity
31.80	100
36.51	17
37.07	33
53.02	24
62.79	14
63.54	27

[3]
# Ho4ScIn
Computed X-ray powder pattern, Cu Kα, 1.54184 Å. Input: DFT lattice parameters and positions (PBE).
Kinematic intensities with the Lorentz-polarization factor, no thermal factor.

Crystal structure
Unit cell a=3.4459 b=5.6122 c=9.2424 alpha=90.00 beta=90.00 gamma=90.00
Space group Pmmm (No. 47)
Unique sites:
Ho 0.0000 0.0000 0.1875 (multiplicity 2)
Ho 0.5000 0.5000 0.3081 (multiplicity 2)
Sc 0.5000 0.0000 0.5000 (multiplicity 1)
In 0.0000 0.5000 0.0000 (multiplicity 1)

Principal peaks in the range 10° ≤ 2θ ≤ 80°, in order of rising 2θ:
two_theta	intensity
19.21	29
27.63	41
30.44	47
31.89	59
33.17	89
36.24	100

[4]
# HoSc9In2
Computed X-ray powder pattern, Cu Kα, 1.54184 Å. Input: DFT lattice parameters and positions (PBE).
Kinematic intensities with the Lorentz-polarization factor, no thermal factor.

Crystal structure
Unit cell a=4.5511 b=4.5511 c=13.9621 alpha=90.00 beta=90.00 gamma=90.00
Space group P4/mmm (No. 123)
Unique sites:
Ho 0.0000 0.0000 0.0000 (multiplicity 1)
Sc 0.0000 0.5000 0.1749 (multiplicity 4)
Sc 0.0000 0.5000 0.5000 (multiplicity 2)
Sc 0.5000 0.5000 0.0000 (multiplicity 1)
Sc 0.5000 0.5000 0.3398 (multiplicity 2)
In 0.0000 0.0000 0.3386 (multiplicity 2)

Principal peaks in the range 10° ≤ 2θ ≤ 80°, in order of rising 2θ:
two_theta	intensity
19.50	20
27.41	18
33.87	100
39.61	32
56.57	21
68.21	23

[5]
# HoSc2In4
Computed X-ray powder pattern, Cu Kα, 1.54184 Å. Input: DFT lattice parameters and positions (PBE).
Kinematic intensities with the Lorentz-polarization factor, no thermal factor.

Crystal structure
Unit cell a=7.2799 b=7.2799 c=6.9255 alpha=90.00 beta=90.00 gamma=90.00
Space group I4/mmm (No. 139)
Unique sites:
Ho 0.0000 0.0000 0.0000 (multiplicity 2)
Sc 0.0000 0.5000 0.0000 (multiplicity 4)
In 0.2500 0.2500 0.2500 (multiplicity 8)

Principal peaks in the range 10° ≤ 2θ ≤ 80°, in order of rising 2θ:
two_theta	intensity
17.68	29
34.86	54
35.79	100
50.12	19
63.11	36
64.91	17

[6]
# HoScTlIn
Computed X-ray powder pattern, Cu Kα, 1.54184 Å. Input: DFT lattice parameters and positions (PBE).
Kinematic intensities with the Lorentz-polarization factor, no thermal factor.

Crystal structure
Unit cell a=7.3582 b=7.3582 c=7.3582 alpha=90.00 beta=90.00 gamma=90.00
Space group F-43m (No. 216)
Unique sites:
Ho 0.0000 0.0000 0.0000 (multiplicity 4)
Sc 0.0000 0.0000 0.5000 (multiplicity 4)
Tl 0.2500 0.2500 0.7500 (multiplicity 4)
In 0.2500 0.2500 0.2500 (multiplicity 4)

Principal peaks in the range 10° ≤ 2θ ≤ 80°, in order of rising 2θ:
two_theta	intensity
20.91	17
34.48	100
40.67	10
49.55	18
61.76	37
72.69	11

[7]
# Y2HoSc2In5
Computed X-ray powder pattern, Cu Kα, 1.54184 Å. Input: DFT lattice parameters and positions (PBE).
Kinematic intensities with the Lorentz-polarization factor, no thermal factor.

Crystal structure
Unit cell a=10.5499 b=10.5499 c=4.6419 alpha=90.00 beta=90.00 gamma=90.00
Space group P4/mbm (No. 127)
Unique sites:
Y 0.1773 0.3227 0.0000 (multiplicity 4)
Ho 0.0000 0.0000 0.0000 (multiplicity 2)
Sc 0.1196 0.6196 0.0000 (multiplicity 4)
In 0.0000 0.5000 0.5000 (multiplicity 2)
In 0.0676 0.7985 0.5000 (multiplicity 8)

Principal peaks in the range 10° ≤ 2θ ≤ 80°, in order of rising 2θ:
two_theta	intensity
30.75	27
33.07	100
35.07	32
36.29	29
38.80	28
53.29	19

[8]
# YHo2ScIn2
Computed X-ray powder pattern, Cu Kα, 1.54184 Å. Input: DFT lattice parameters and positions (PBE).
Kinematic intensities with the Lorentz-polarization factor, no thermal factor.

Crystal structure
Unit cell a=5.2696 b=9.1524 c=6.6786 alpha=90.00 beta=90.00 gamma=90.00
Space group Pmc2_1 (No. 26)
Unique sites:
Y 0.0000 0.0032 0.0000 (multiplicity 2)
Ho 0.0000 0.3367 0.2558 (multiplicity 2)
Ho 0.5000 0.4961 0.0013 (multiplicity 2)
Sc 0.5000 0.1707 0.7460 (multiplicity 2)
In 0.0000 0.3253 0.7524 (multiplicity 2)
In 0.5000 0.1573 0.2496 (multiplicity 2)

Principal peaks in the range 10° ≤ 2θ ≤ 80°, in order of rising 2θ:
two_theta	intensity
33.23	99
33.98	100
48.26	34
60.30	23
60.85	12
66.24	28

[9]
# Ho6InSe4
Computed X-ray powder pattern, Cu Kα, 1.54184 Å. Input: DFT lattice parameters and positions (PBE).
Kinematic intensities with the Lorentz-polarization factor, no thermal factor.

Crystal structure
Unit cell a=4.0117 b=13.4416 c=20.7468 alpha=90.00 beta=90.00 gamma=90.00
Space group Cmcm (No. 63)
Unique sites:
Ho 0.0000 0.0000 0.0000 (multiplicity 4)
Ho 0.0000 0.1501 0.2500 (multiplicity 4)
Ho 0.0000 0.2696 0.5939 (multiplicity 8)
Ho 0.0000 0.4506 0.1631 (multiplicity 8)
In 0.0000 0.1730 0.7500 (multiplicity 4)
Se 0.0000 0.0869 0.1221 (multiplicity 8)
Se 0.0000 0.3584 0.0372 (multiplicity 8)

Principal peaks in the range 10° ≤ 2θ ≤ 80°, in order of rising 2θ:
two_theta	intensity
29.04	83
30.21	76
31.14	100
32.64	32
42.03	31
45.21	37

[10]
# Ho3InSe2
Computed X-ray powder pattern, Cu Kα, 1.54184 Å. Input: DFT lattice parameters and positions (PBE).
Kinematic intensities with the Lorentz-polarization factor, no thermal factor.

Crystal structure
Unit cell a=4.0026 b=5.9250 c=12.9496 alpha=90.00 beta=90.00 gamma=90.00
Space group Immm (No. 71)
Unique sites:
Ho 0.0000 0.0000 0.0000 (multiplicity 2)
Ho 0.0000 0.0000 0.3231 (multiplicity 4)
In 0.0000 0.5000 0.0000 (multiplicity 2)
Se 0.0000 0.5000 0.3350 (multiplicity 4)

Principal peaks in the range 10° ≤ 2θ ≤ 80°, in order of rising 2θ:
two_theta	intensity
30.17	52
30.46	100
41.86	20
43.40	76
52.45	21
55.40	19

[11]
# HoIn2Se4
Computed X-ray powder pattern, Cu Kα, 1.54184 Å. Input: DFT lattice parameters and positions (PBE).
Kinematic intensities with the Lorentz-polarization factor, no thermal factor.

Crystal structure
Unit cell a=6.1200 b=6.1200 c=6.3025 alpha=90.00 beta=90.00 gamma=90.00
Space group P-42m (No. 111)
Unique sites:
Ho 0.0000 0.0000 0.0000 (multiplicity 1)
In 0.0000 0.5000 0.5000 (multiplicity 2)
Se 0.2637 0.2637 0.2418 (multiplicity 4)

Principal peaks in the range 10° ≤ 2θ ≤ 80°, in order of rising 2θ:
two_theta	intensity
20.23	17
24.96	100
41.12	51
41.74	24
48.15	16
49.25	30

[12]
# Ho12InSi5
Computed X-ray powder pattern, Cu Kα, 1.54184 Å. Input: DFT lattice parameters and positions (PBE).
Kinematic intensities with the Lorentz-polarization factor, no thermal factor.

Crystal structure
Unit cell a=9.4308 b=9.4679 c=10.2274 alpha=90.00 beta=90.00 gamma=90.00
Space group Immm (No. 71)
Unique sites:
Ho 0.0000 0.1971 0.2336 (multiplicity 8)
Ho 0.2030 0.5000 0.1795 (multiplicity 8)
Ho 0.2295 0.3194 0.5000 (multiplicity 8)
In 0.0000 0.0000 0.5000 (multiplicity 2)
Si 0.0000 0.0000 0.0000 (multiplicity 2)
Si 0.0000 0.3709 0.0000 (multiplicity 4)
Si 0.0000 0.5000 0.3836 (multiplicity 4)

Principal peaks in the range 10° ≤ 2θ ≤ 80°, in order of rising 2θ:
two_theta	intensity
29.62	29
29.92	31
32.00	100
33.80	46
34.74	39
35.35	36